The following is a computed PXRD pattern of Ac6In2OsN. It was derived from DFT lattice parameters and positions (GGA-PBE), using Cu Kα (λ = 1.5418 Å).
Kinematic intensities with the Lorentz-polarization factor, no thermal factor.

Peak list (6 most intense, 10 to 90 degrees two-theta, by intensity)
hkl 2 2 0, 27.64 deg, intensity 100.0; hkl 2 0 2, 32.02 deg, intensity 86.6; hkl 4 0 0, 45.91 deg, intensity 63.7; hkl 4 2 2, 54.43 deg, intensity 45.5; hkl 0 2 0, 15.85 deg, intensity 25.2; hkl 4 4 0, 57.07 deg, intensity 22.1

Structural model:
```
data_Ac6In2OsN
_cell_length_a 7.913
_cell_length_b 11.170
_cell_length_c 7.909
_cell_angle_alpha 90.00
_cell_angle_beta 90.00
_cell_angle_gamma 90.00
_symmetry_space_group_name_H-M 'P m m n'
_symmetry_Int_Tables_number 59
loop_
_symmetry_equiv_pos_as_xyz
'x,y,z'
'-x,-y,-z'
'-x+1/2,-y+1/2,z'
'x+1/2,y+1/2,-z'
'x+1/2,-y,-z'
'-x+1/2,y,z'
'-x,y+1/2,-z'
'x,-y+1/2,z'
loop_
_atom_site_label
_atom_site_type_symbol
_atom_site_fract_x
_atom_site_fract_y
_atom_site_fract_z
Ac1 Ac 0.006 0.250 0.015
Ac2 Ac 0.012 0.250 0.498
Ac3 Ac 0.250 0.010 0.252
In1 In 0.250 0.501 0.747
Os1 Os 0.250 0.750 0.253
N1 N 0.250 0.250 0.238
```